1.
Computed powder XRD pattern of CrCdSe2 for Cu Kα (weighted mean of Kα1 and Kα2), from DFT lattice parameters and positions (PBE).
Peak positions follow from Bragg's law for the DFT cell and can differ from measured ones.

Main lines, by angle (2θ = 10–90°):
d = 2.773 Å, I 100
d = 1.972 Å, I 33
d = 1.949 Å, I 36
d = 1.595 Å, I 18
d = 1.386 Å, I 10
d = 1.246 Å, I 12
d = 1.234 Å, I 15
d = 1.130 Å, I 10

Structure:
Unit cell a=6.858 b=6.858 c=6.858 alpha=33.03 beta=33.03 gamma=33.03
Fractional coordinates of all 4 atoms:
1 Cr 0.000 0.000 0.000
2 Cd 0.500 0.500 0.500
3 Se 0.260 0.260 0.260
4 Se 0.740 0.740 0.740

=====

2.
Computed powder XRD pattern of Cr2CdSi for Cu Kα (weighted mean of Kα1 and Kα2), from DFT lattice parameters and positions (PBE).
Peak positions follow from Bragg's law for the DFT cell and can differ from measured ones.

Main lines, by angle (2θ = 10–90°):
d = 4.417 Å, I 22
d = 2.459 Å, I 12
d = 2.236 Å, I 28
d = 2.208 Å, I 24
d = 2.179 Å, I 100
d = 1.571 Å, I 15
d = 1.280 Å, I 16
d = 1.269 Å, I 12

Structure:
Unit cell a=5.176 b=5.176 c=5.176 alpha=146.02 beta=128.83 gamma=62.86
Fractional coordinates of all 4 atoms:
1 Cr 0.000 0.000 0.000
2 Cr 0.777 0.277 0.500
3 Cd 0.500 0.500 0.000
4 Si 0.228 0.728 0.500

=====

3.
Computed powder XRD pattern of Cr2CdSi2 for Cu Kα (weighted mean of Kα1 and Kα2), from DFT lattice parameters and positions (PBE).
Peak positions follow from Bragg's law for the DFT cell and can differ from measured ones.

Main lines, by angle (2θ = 10–90°):
d = 5.047 Å, I 24
d = 3.569 Å, I 21
d = 2.524 Å, I 27
d = 2.464 Å, I 50
d = 2.257 Å, I 100
d = 2.214 Å, I 43
d = 2.115 Å, I 60
d = 1.197 Å, I 23

Structure:
Unit cell a=7.138 b=7.138 c=2.823 alpha=90.00 beta=90.00 gamma=90.00
Fractional coordinates of all 10 atoms:
1 Cr 0.151 0.349 0.000
2 Cr 0.349 0.849 0.000
3 Cr 0.651 0.151 0.000
4 Cr 0.849 0.651 0.000
5 Cd 0.000 0.000 0.500
6 Cd 0.500 0.500 0.500
7 Si 0.138 0.638 0.500
8 Si 0.362 0.138 0.500
9 Si 0.638 0.862 0.500
10 Si 0.862 0.362 0.500

=====

4.
Computed powder XRD pattern of CrCdTc3 for Cu Kα (weighted mean of Kα1 and Kα2), from DFT lattice parameters and positions (PBE).
Peak positions follow from Bragg's law for the DFT cell and can differ from measured ones.

Main lines, by angle (2θ = 10–90°):
d = 4.474 Å, I 4
d = 3.164 Å, I 9
d = 2.583 Å, I 100
d = 2.237 Å, I 83
d = 1.582 Å, I 54
d = 1.349 Å, I 38
d = 1.292 Å, I 18
d = 1.118 Å, I 8

Structure:
Unit cell a=4.474 b=4.474 c=4.474 alpha=90.00 beta=90.00 gamma=90.00
Fractional coordinates of all 5 atoms:
1 Cr 0.000 0.000 0.000
2 Cd 0.500 0.500 0.500
3 Tc 0.000 0.000 0.500
4 Tc 0.000 0.500 0.000
5 Tc 0.500 0.000 0.000

=====

5.
Computed powder XRD pattern of CrCd3Te4 for Cu Kα (weighted mean of Kα1 and Kα2), from DFT lattice parameters and positions (PBE).
Peak positions follow from Bragg's law for the DFT cell and can differ from measured ones.

Main lines, by angle (2θ = 10–90°):
d = 3.766 Å, I 100
d = 2.306 Å, I 78
d = 1.967 Å, I 48
d = 1.631 Å, I 13
d = 1.497 Å, I 19
d = 1.332 Å, I 25
d = 1.255 Å, I 14
d = 1.103 Å, I 14

Structure:
Unit cell a=6.524 b=6.524 c=6.524 alpha=90.00 beta=90.00 gamma=90.00
Fractional coordinates of all 8 atoms:
1 Cr 0.000 0.000 0.000
2 Cd 0.000 0.500 0.500
3 Cd 0.500 0.000 0.500
4 Cd 0.500 0.500 0.000
5 Te 0.240 0.240 0.240
6 Te 0.240 0.760 0.760
7 Te 0.760 0.240 0.760
8 Te 0.760 0.760 0.240

=====

6.
Computed powder XRD pattern of Cr2CdTe4 for Cu Kα (weighted mean of Kα1 and Kα2), from DFT lattice parameters and positions (PBE).
Peak positions follow from Bragg's law for the DFT cell and can differ from measured ones.

Main lines, by angle (2θ = 10–90°):
d = 4.135 Å, I 28
d = 3.526 Å, I 26
d = 3.376 Å, I 81
d = 2.924 Å, I 67
d = 2.251 Å, I 53
d = 2.067 Å, I 100
d = 1.763 Å, I 26
d = 1.194 Å, I 21

Structure:
Unit cell a=8.267 b=8.267 c=8.267 alpha=119.96 beta=119.96 gamma=90.08
Fractional coordinates of all 14 atoms:
1 Cr 0.000 0.000 0.000
2 Cr 0.000 0.000 0.500
3 Cr 0.000 0.500 0.000
4 Cr 0.500 0.000 0.500
5 Cd 0.375 0.625 0.750
6 Cd 0.625 0.375 0.250
7 Te 0.205 0.235 0.970
8 Te 0.235 0.205 0.470
9 Te 0.235 0.765 0.030
10 Te 0.235 0.765 0.470
11 Te 0.765 0.235 0.530
12 Te 0.765 0.235 0.970
13 Te 0.765 0.795 0.530
14 Te 0.795 0.765 0.030